Starting from a GGA+U-relaxed structure, the PXRD pattern of GaNiAgF6 was computed for copper Kα.

The 10 most intense peaks (15 to 90 degrees two-theta), in order of rising 2θ:
Position (°2θ)	d (Å)	Rel. int.
25.8	3.452	100
33.9	2.645	27
38.1	2.362	8
43.1	2.099	21
48.9	1.863	43
55.9	1.644	21
56.3	1.635	9
60.6	1.527	14
77.3	1.235	9
81.5	1.181	8

```
GaNiAgF6
1.0
5.290 0.000 0.000
-2.645 4.581 0.000
0.000 0.000 10.503
Ga Ni Ag F
2 2 2 12
direct
0.333 0.667 0.250 Ga
0.667 0.333 0.750 Ga
0.333 0.667 0.750 Ni
0.667 0.333 0.250 Ni
0.000 0.000 0.000 Ag
0.000 0.000 0.500 Ag
0.015 0.378 0.148 F
0.015 0.636 0.352 F
0.364 0.378 0.352 F
0.364 0.985 0.148 F
0.378 0.015 0.648 F
0.378 0.364 0.852 F
0.622 0.636 0.148 F
0.622 0.985 0.352 F
0.636 0.015 0.852 F
0.636 0.622 0.648 F
0.985 0.364 0.648 F
0.985 0.622 0.852 F
```